Diffraction record for Mg2Sb. The X-ray powder pattern is theoretical, not measured: it uses DFT lattice parameters and positions (PBE) and copper Kα.
Intensities are scaled so that the largest is 100.

Crystal structure
Cell lengths 5.6463, 5.6463, 5.2741 Å; angles 90.00, 90.00, 120.00 degrees
Sites, in units of the cell vectors:
Mg 0.0000 0.0000 0.0000
Mg 0.0000 0.3336 0.5000
Mg 0.3336 0.0000 0.5000
Mg 0.6664 0.6664 0.5000
Sb 0.3333 0.6667 0.0000
Sb 0.6667 0.3333 0.0000

Largest 6 diffraction maxima, in order of falling intensity, 2θ from 5° to 70°:
| 2theta | I/Imax |
| --- | --- |
| 36.09 | 100 |
| 31.69 | 41 |
| 16.81 | 41 |
| 47.16 | 27 |
| 18.14 | 26 |
| 24.83 | 24 |



Diffraction record for Mg2Sb. The X-ray powder pattern is theoretical, not measured: it uses DFT lattice parameters and positions (PBE) and copper Kα.
Intensities are scaled so that the largest is 100.

Crystal structure
Cell lengths 3.3163, 3.3163, 15.4747 Å; angles 90.00, 90.00, 120.00 degrees
Sites, in units of the cell vectors:
Mg 0.3333 0.6667 0.0817
Mg 0.3333 0.6667 0.4183
Mg 0.6667 0.3333 0.5817
Mg 0.6667 0.3333 0.9183
Sb 0.3333 0.6667 0.7500
Sb 0.6667 0.3333 0.2500

Largest 6 diffraction maxima, in order of falling intensity, 2θ from 5° to 70°:
| 2theta | I/Imax |
| --- | --- |
| 35.78 | 100 |
| 11.44 | 99 |
| 31.69 | 43 |
| 31.14 | 24 |
| 34.78 | 24 |
| 22.99 | 22 |



Diffraction record for Mg2Sb. The X-ray powder pattern is theoretical, not measured: it uses DFT lattice parameters and positions (PBE) and copper Kα.
Intensities are scaled so that the largest is 100.

Crystal structure
Cell lengths 3.3132, 3.3132, 15.5609 Å; angles 90.00, 90.00, 120.00 degrees
Sites, in units of the cell vectors:
Mg 0.0000 0.0000 0.0000
Mg 0.0000 0.0000 0.3358
Mg 0.0000 0.0000 0.6642
Mg 0.3333 0.6667 0.5000
Sb 0.3333 0.6667 0.1665
Sb 0.3333 0.6667 0.8335

Largest 6 diffraction maxima, in order of falling intensity, 2θ from 5° to 70°:
| 2theta | I/Imax |
| --- | --- |
| 35.76 | 100 |
| 5.68 | 96 |
| 31.17 | 42 |
| 17.09 | 38 |
| 47.24 | 26 |
| 11.37 | 22 |



Diffraction record for Mg2Sb. The X-ray powder pattern is theoretical, not measured: it uses DFT lattice parameters and positions (PBE) and copper Kα.
Intensities are scaled so that the largest is 100.

Crystal structure
Cell lengths 6.2318, 6.2318, 6.2318 Å; angles 53.63, 53.63, 53.63 degrees
Sites, in units of the cell vectors:
Mg 0.0000 0.0000 0.0000
Mg 0.1601 0.8399 0.5000
Mg 0.5000 0.1601 0.8399
Mg 0.8399 0.5000 0.1601
Sb 0.3487 0.3487 0.3487
Sb 0.6513 0.6513 0.6513

Largest 6 diffraction maxima, in order of falling intensity, 2θ from 5° to 70°:
| 2theta | I/Imax |
| --- | --- |
| 36.14 | 100 |
| 31.83 | 44 |
| 16.67 | 40 |
| 19.06 | 35 |
| 28.93 | 27 |
| 47.03 | 21 |



Diffraction record for MgSb. The X-ray powder pattern is theoretical, not measured: it uses DFT lattice parameters and positions (PBE) and copper Kα.
Intensities are scaled so that the largest is 100.

Crystal structure
Cell lengths 5.1688, 9.0927, 9.0927 Å; angles 20.42, 90.00, 90.00 degrees
Sites, in units of the cell vectors:
Mg 0.0000 0.0000 0.0000
Mg 0.0000 0.3367 0.3367
Mg 0.5000 0.2189 0.2189
Sb 0.0000 0.6883 0.6883
Sb 0.5000 0.5560 0.5560
Sb 0.5000 0.8739 0.8739

Largest 6 diffraction maxima, in order of falling intensity, 2θ from 5° to 70°:
| 2theta | I/Imax |
| --- | --- |
| 36.12 | 100 |
| 34.72 | 52 |
| 19.84 | 40 |
| 26.35 | 34 |
| 29.96 | 29 |
| 28.12 | 23 |



Diffraction record for Mg2Sb. The X-ray powder pattern is theoretical, not measured: it uses DFT lattice parameters and positions (PBE) and copper Kα.
Intensities are scaled so that the largest is 100.

Crystal structure
Cell lengths 4.9096, 9.1527, 9.1527 Å; angles 20.76, 90.00, 90.00 degrees
Sites, in units of the cell vectors:
Mg 0.0000 0.0000 0.0000
Mg 0.0000 0.3277 0.3277
Mg 0.0000 0.6611 0.6611
Mg 0.5000 0.5538 0.5538
Sb 0.5000 0.2034 0.2034
Sb 0.5000 0.9046 0.9046

Largest 6 diffraction maxima, in order of falling intensity, 2θ from 5° to 70°:
| 2theta | I/Imax |
| --- | --- |
| 36.05 | 100 |
| 18.07 | 57 |
| 30.93 | 45 |
| 48.62 | 44 |
| 35.05 | 44 |
| 26.87 | 37 |



Repeat the second record exactly.
Diffraction record for Mg2Sb. The X-ray powder pattern is theoretical, not measured: it uses DFT lattice parameters and positions (PBE) and copper Kα.
Intensities are scaled so that the largest is 100.

Crystal structure
Cell lengths 3.3163, 3.3163, 15.4747 Å; angles 90.00, 90.00, 120.00 degrees
Sites, in units of the cell vectors:
Mg 0.3333 0.6667 0.0817
Mg 0.3333 0.6667 0.4183
Mg 0.6667 0.3333 0.5817
Mg 0.6667 0.3333 0.9183
Sb 0.3333 0.6667 0.7500
Sb 0.6667 0.3333 0.2500

Largest 6 diffraction maxima, in order of falling intensity, 2θ from 5° to 70°:
| 2theta | I/Imax |
| --- | --- |
| 35.78 | 100 |
| 11.44 | 99 |
| 31.69 | 43 |
| 31.14 | 24 |
| 34.78 | 24 |
| 22.99 | 22 |